The following is a calculated PXRD pattern of SrNbFeO6. It was derived from a cell relaxed with PBE+U, using Cu Kα.
No peak broadening, texture or thermal motion is included.

Structure:
```
data_SrNbFeO6
_chemical_formula_sum 'Sr2 Nb2 Fe2 O12'
_space_group_name_H-M_alt 'I -4'
_space_group_IT_number 82
_cell_length_a 5.613
_cell_length_b 5.613
_cell_length_c 7.938
_cell_angle_alpha 90.00
_cell_angle_beta 90.00
_cell_angle_gamma 90.00
loop_
_space_group_symop_operation_xyz
'x,y,z'
'y,-x,-z'
'-x,-y,z'
'-y,x,-z'
'x+1/2,y+1/2,z+1/2'
'y+1/2,-x+1/2,-z+1/2'
'-x+1/2,-y+1/2,z+1/2'
'-y+1/2,x+1/2,-z+1/2'
loop_
_atom_site_label
_atom_site_fract_x
_atom_site_fract_y
_atom_site_fract_z
_atom_site_occupancy
Sr1 0.000 0.000 0.000 1
Nb1 0.000 0.500 0.250 1
Fe1 0.000 0.500 0.750 1
O1 0.000 0.500 0.501 1
O2 0.248 0.250 0.750 1
```

Most intense lines, 15° ≤ 2θ ≤ 90°, in order of rising 2θ:
| h k l | two_theta | I/Imax |
| --- | --- | --- |
| 1 0 1 | 19.4 | 48 |
| 1 1 0 | 22.4 | 31 |
| 2 0 0 | 31.9 | 100 |
| 1 2 1 | 37.6 | 27 |
| 2 2 0 | 45.7 | 46 |
| 1 2 3 | 50.1 | 12 |
| 3 1 0 | 51.5 | 10 |
| 3 1 2 | 56.8 | 39 |
| 4 0 0 | 66.7 | 26 |
| 4 2 0 | 75.8 | 17 |